This entry pairs a crystal structure of SmCrTeO6 with its calculated powder diffraction line list. Radiation: λ = 1.5418 Å (Cu Kα). Structure: a PBE+U-relaxed structure.
Neutral-atom scattering factors, no anomalous dispersion.

Atomic structure:
a b c (Å): 5.2202 5.2202 10.0865
angles (deg): 90.00 90.00 120.00
Space group P-31c (No. 163)
Unique sites:
Sm (0.0000, 0.0000, 0.0000)
Cr (0.3333, 0.6667, 0.2500)
Te (0.3333, 0.6667, 0.7500)
O (0.0102, 0.3699, 0.8581)

Peak list (10 most intense, 2θ from 15° to 90°, in order of falling intensity)
- 2θ = 26.48°, rel. 100, hkl 1 0 2
- 2θ = 50.31°, rel. 39, hkl 2 -1 4
- 2θ = 34.36°, rel. 34, hkl 1 1 0
- 2θ = 43.89°, rel. 24, hkl 2 0 2
- 2θ = 56.90°, rel. 23, hkl 3 -1 2
- 2θ = 61.54°, rel. 13, hkl 3 0 0
- 2θ = 21.54°, rel. 11, hkl 1 0 1
- 2θ = 58.58°, rel. 10, hkl 1 0 6
- 2θ = 78.63°, rel. 9, hkl 3 1 2
- 2θ = 80.08°, rel. 8, hkl 2 1 6

***

This entry pairs a crystal structure of SmCrTeO6 with its calculated powder diffraction line list. Radiation: λ = 1.5418 Å (Cu Kα). Structure: a PBE+U-relaxed structure.
Neutral-atom scattering factors, no anomalous dispersion.

Atomic structure:
a b c (Å): 5.4978 5.4978 8.5743
angles (deg): 90.00 90.00 120.00
Space group P-31c (No. 163)
Unique sites:
Sm (0.3333, 0.6667, 0.2500)
Cr (0.0000, 0.0000, 0.0000)
Te (0.3333, 0.6667, 0.7500)
O (0.0517, 0.3559, 0.8785)

Peak list (10 most intense, 2θ from 15° to 90°, in order of falling intensity)
- 2θ = 28.01°, rel. 100, hkl 1 0 2
- 2θ = 32.57°, rel. 72, hkl 1 1 0
- 2θ = 38.92°, rel. 62, hkl 2 -1 2
- 2θ = 54.27°, rel. 56, hkl 1 1 4
- 2θ = 20.72°, rel. 43, hkl 0 0 2
- 2θ = 43.48°, rel. 29, hkl 2 0 2
- 2θ = 55.37°, rel. 28, hkl 3 -1 2
- 2θ = 58.12°, rel. 26, hkl 3 0 0
- 2θ = 18.64°, rel. 24, hkl 1 0 0
- 2θ = 83.56°, rel. 15, hkl 4 -2 4

***

This entry pairs a crystal structure of SrCr10O15 with its calculated powder diffraction line list. Radiation: λ = 1.5418 Å (Cu Kα). Structure: a PBE+U-relaxed structure.
Neutral-atom scattering factors, no anomalous dispersion.

Atomic structure:
a b c (Å): 11.6753 10.4624 9.5436
angles (deg): 90.00 90.00 90.00
Space group Cmce (No. 64)
Unique sites:
Sr (0.0000, 0.0000, 0.0000)
Cr (0.0000, 0.1851, 0.3659)
Cr (0.1270, 0.0829, 0.6456)
Cr (0.2437, 0.1625, 0.1141)
O (0.0000, 0.0000, 0.5000)
O (0.0000, 0.1384, 0.7691)
O (0.1296, 0.2335, 0.5071)
O (0.1311, 0.0919, 0.2585)
O (0.2458, 0.0000, 0.5000)
O (0.2500, 0.1851, 0.7500)

Peak list (10 most intense, 2θ from 15° to 90°, in order of falling intensity)
- 2θ = 30.35°, rel. 100, hkl 1 1 3
- 2θ = 45.61°, rel. 94, hkl 4 2 3
- 2θ = 30.86°, rel. 85, hkl 3 1 2
- 2θ = 40.11°, rel. 73, hkl 4 2 2
- 2θ = 36.48°, rel. 72, hkl 4 2 1
- 2θ = 61.99°, rel. 69, hkl 4 6 0
- 2θ = 52.54°, rel. 68, hkl 4 2 4
- 2θ = 26.15°, rel. 52, hkl 3 1 1
- 2θ = 28.30°, rel. 51, hkl 1 3 1
- 2θ = 32.72°, rel. 50, hkl 1 3 2

***

This entry pairs a crystal structure of SrCrO2 with its calculated powder diffraction line list. Radiation: λ = 1.5418 Å (Cu Kα). Structure: a PBE+U-relaxed structure.
Neutral-atom scattering factors, no anomalous dispersion.

Atomic structure:
a b c (Å): 5.3529 4.0688 5.3532
angles (deg): 90.00 99.10 90.00
Space group P2/m (No. 10)
Unique sites:
Sr (0.2477, 0.0000, 0.2531)
Cr (0.2601, 0.5000, 0.7618)
O (0.0000, 0.5000, 0.0000)
O (0.2516, 0.0000, 0.7521)
O (0.5000, 0.5000, 0.5000)

Peak list (10 most intense, 2θ from 15° to 90°, in order of falling intensity)
- 2θ = 33.93°, rel. 100, hkl 2 0 0
- 2θ = 57.12°, rel. 42, hkl 2 2 0
- 2θ = 31.07°, rel. 37, hkl 1 1 -1
- 2θ = 44.51°, rel. 34, hkl 0 2 0
- 2θ = 71.40°, rel. 14, hkl 4 0 0
- 2θ = 40.71°, rel. 14, hkl 0 1 2
- 2θ = 62.46°, rel. 10, hkl 3 1 1
- 2θ = 64.77°, rel. 10, hkl 2 2 -2
- 2θ = 52.71°, rel. 10, hkl 2 0 2
- 2θ = 75.17°, rel. 9, hkl 1 3 1

***

This entry pairs a crystal structure of Sr2CrO4 with its calculated powder diffraction line list. Radiation: λ = 1.5418 Å (Cu Kα). Structure: a PBE+U-relaxed structure.
Neutral-atom scattering factors, no anomalous dispersion.

Atomic structure:
a b c (Å): 3.8341 3.8341 12.8515
angles (deg): 90.00 90.00 90.00
Space group I4/mmm (No. 139)
Unique sites:
Sr (0.0000, 0.0000, 0.1476)
Cr (0.0000, 0.0000, 0.5000)
O (0.0000, 0.0000, 0.3418)
O (0.0000, 0.5000, 0.0000)

Peak list (10 most intense, 2θ from 15° to 90°, in order of falling intensity)
- 2θ = 31.31°, rel. 100, hkl 1 0 3
- 2θ = 33.04°, rel. 67, hkl 1 1 0
- 2θ = 47.42°, rel. 37, hkl 2 0 0
- 2θ = 57.93°, rel. 35, hkl 2 1 3
- 2θ = 43.69°, rel. 25, hkl 1 1 4
- 2θ = 54.61°, rel. 20, hkl 1 1 6
- 2θ = 42.19°, rel. 19, hkl 0 0 6
- 2θ = 65.32°, rel. 18, hkl 2 0 6
- 2θ = 69.32°, rel. 11, hkl 2 2 0
- 2θ = 78.96°, rel. 10, hkl 3 1 0

***

This entry pairs a crystal structure of Sr3Cr2O7 with its calculated powder diffraction line list. Radiation: λ = 1.5418 Å (Cu Kα). Structure: a PBE+U-relaxed structure.
Neutral-atom scattering factors, no anomalous dispersion.

Atomic structure:
a b c (Å): 15.6680 4.1164 9.3337
angles (deg): 90.00 108.29 90.00
Space group C2/m (No. 12)
Unique sites:
Sr (0.0000, 0.0000, 0.0000)
Sr (0.1713, 0.5000, 0.3317)
Cr (0.0466, 0.0000, 0.4490)
O (0.0000, 0.5000, 0.0000)
O (0.0294, 0.5000, 0.3585)
O (0.1679, 0.1823, 0.5641)

Peak list (10 most intense, 2θ from 15° to 90°, in order of falling intensity)
- 2θ = 28.92°, rel. 100, hkl 1 1 -2
- 2θ = 28.17°, rel. 57, hkl 3 1 0
- 2θ = 26.45°, rel. 54, hkl 2 0 2
- 2θ = 36.03°, rel. 33, hkl 5 1 -1
- 2θ = 25.35°, rel. 29, hkl 1 1 1
- 2θ = 39.45°, rel. 28, hkl 6 0 -3
- 2θ = 52.07°, rel. 27, hkl 2 2 2
- 2θ = 37.23°, rel. 26, hkl 3 1 -3
- 2θ = 46.68°, rel. 26, hkl 8 0 -1
- 2θ = 36.23°, rel. 25, hkl 6 0 0

***

This entry pairs a crystal structure of Sr4Cr3O9 with its calculated powder diffraction line list. Radiation: λ = 1.5418 Å (Cu Kα). Structure: a PBE+U-relaxed structure.
Neutral-atom scattering factors, no anomalous dispersion.

Atomic structure:
a b c (Å): 9.7474 9.7474 7.9413
angles (deg): 90.00 90.00 120.00
Space group P3 (No. 143)
Unique sites:
Sr (0.0010, 0.3561, 0.0000)
Sr (0.0071, 0.6595, 0.7402)
Sr (0.0261, 0.6936, 0.2457)
Sr (0.3357, 0.0299, 0.4926)
Cr (0.0000, 0.0000, 0.0160)
Cr (0.0000, 0.0000, 0.3557)
Cr (0.0000, 0.0000, 0.6836)
Cr (0.3333, 0.6667, 0.1464)
Cr (0.3333, 0.6667, 0.4874)
Cr (0.3333, 0.6667, 0.8239)
Cr (0.6667, 0.3333, 0.2515)
Cr (0.6667, 0.3333, 0.5880)
Cr (0.6667, 0.3333, 0.9112)
O (0.0029, 0.8421, 0.5195)
O (0.0465, 0.1701, 0.8364)
O (0.1683, 0.0224, 0.1954)
O (0.1743, 0.6734, 0.9866)
O (0.1753, 0.5165, 0.3121)
O (0.1798, 0.5151, 0.6570)
O (0.5044, 0.1790, 0.7540)
O (0.5054, 0.3174, 0.0656)
O (0.5229, 0.3579, 0.4287)

Peak list (10 most intense, 2θ from 15° to 90°, in order of falling intensity)
- 2θ = 31.80°, rel. 100, hkl 3 0 0
- 2θ = 29.01°, rel. 95, hkl 2 -1 2
- 2θ = 43.58°, rel. 56, hkl 2 2 2
- 2θ = 56.71°, rel. 35, hkl 3 3 0
- 2θ = 54.95°, rel. 22, hkl 5 -1 2
- 2θ = 40.18°, rel. 22, hkl 2 0 3
- 2θ = 44.47°, rel. 19, hkl 3 -2 3
- 2θ = 66.45°, rel. 15, hkl 6 0 0
- 2θ = 59.10°, rel. 15, hkl 2 3 3
- 2θ = 49.58°, rel. 9, hkl 1 1 4

***

This entry pairs a crystal structure of Sr3Cr2O8 with its calculated powder diffraction line list. Radiation: λ = 1.5418 Å (Cu Kα). Structure: a PBE+U-relaxed structure.
Neutral-atom scattering factors, no anomalous dispersion.

Atomic structure:
a b c (Å): 5.6289 5.6715 7.5126
angles (deg): 90.15 111.92 119.75
Space group P-1 (No. 2)
Unique sites:
Sr (0.0000, 0.0000, 0.0000)
Sr (0.4043, 0.2011, 0.6087)
Cr (0.1887, 0.5948, 0.7823)
O (0.0312, 0.2636, 0.3049)
O (0.0330, 0.7656, 0.3025)
O (0.3502, 0.6692, 0.0335)
O (0.4628, 0.7351, 0.6948)

Peak list (10 most intense, 2θ from 15° to 90°, in order of falling intensity)
- 2θ = 28.53°, rel. 100, hkl 1 0 1
- 2θ = 31.55°, rel. 67, hkl 1 1 -1
- 2θ = 31.79°, rel. 33, hkl -2 1 1
- 2θ = 43.22°, rel. 31, hkl 2 0 -3
- 2θ = 48.45°, rel. 20, hkl 1 -1 3
- 2θ = 54.32°, rel. 16, hkl 2 1 0
- 2θ = 42.90°, rel. 16, hkl 0 2 1
- 2θ = 65.87°, rel. 12, hkl 2 2 -2
- 2θ = 56.49°, rel. 12, hkl 3 0 -2
- 2θ = 54.67°, rel. 11, hkl 3 -1 0

***

This entry pairs a crystal structure of Sr3Cr2O8 with its calculated powder diffraction line list. Radiation: λ = 1.5418 Å (Cu Kα). Structure: a PBE+U-relaxed structure.
Neutral-atom scattering factors, no anomalous dispersion.

Atomic structure:
a b c (Å): 5.6550 7.5229 9.4174
angles (deg): 110.25 90.20 90.02
Space group P-1 (No. 2)
Unique sites:
Sr (0.2494, 0.1536, 0.0461)
Sr (0.2489, 0.7493, 0.2490)
Sr (0.2497, 0.3424, 0.4519)
Cr (0.2511, 0.5608, 0.8438)
Cr (0.2507, 0.9375, 0.6555)
O (0.0007, 0.9638, 0.7670)
O (0.0038, 0.5337, 0.7294)
O (0.2446, 0.1106, 0.5777)
O (0.2483, 0.3999, 0.9341)
O (0.2532, 0.7845, 0.9818)
O (0.2545, 0.7140, 0.5191)
O (0.4980, 0.0397, 0.2346)
O (0.4980, 0.5361, 0.7311)

Peak list (10 most intense, 2θ from 15° to 90°, in order of falling intensity)
- 2θ = 28.53°, rel. 100, hkl 1 2 -1
- 2θ = 31.60°, rel. 67, hkl 2 0 0
- 2θ = 31.66°, rel. 33, hkl 1 1 2
- 2θ = 43.06°, rel. 31, hkl 0 3 1
- 2θ = 48.48°, rel. 30, hkl 1 -3 4
- 2θ = 54.47°, rel. 21, hkl 3 2 -1
- 2θ = 43.19°, rel. 16, hkl 2 -1 3
- 2θ = 59.04°, rel. 13, hkl 2 -4 2
- 2θ = 78.23°, rel. 12, hkl 2 5 -5
- 2θ = 56.25°, rel. 12, hkl -3 1 2